1.
Calculated PXRD pattern of SrBiClO2 for Cu Kα X-rays, from a DFT-relaxed cell (GGA-PBE, the Materials Project).
Kinematic intensities with the Lorentz-polarization factor, no thermal factor.

Largest 8 diffraction maxima, low angle first, 5 to 70 degrees two-theta:
d [Å]	two_theta	I/Imax
6.359	13.9	24
5.272	16.8	25
3.864	23.0	27
2.931	30.5	100
2.897	30.9	21
2.840	31.5	20
2.028	44.7	22
1.657	55.5	22

Cell and atoms:
abc: 6.9875 6.9875 5.6805
angles: 90.00 90.00 131.02
Element x y z (fractional)
1 Sr 0.1080 0.8920 0.7500
2 Sr 0.8920 0.1080 0.2500
3 Bi 0.4193 0.5807 0.7500
4 Bi 0.5807 0.4193 0.2500
5 Cl 0.2444 0.7556 0.2500
6 Cl 0.7556 0.2444 0.7500
7 O 0.2646 0.2646 0.0000
8 O 0.2646 0.2646 0.5000
9 O 0.7354 0.7354 0.0000
10 O 0.7354 0.7354 0.5000

=====

2.
Calculated PXRD pattern of Na3InBr6 for Cu Kα X-rays, from a DFT-relaxed cell (GGA-PBE, the Materials Project).
Kinematic intensities with the Lorentz-polarization factor, no thermal factor.

Largest 8 diffraction maxima, low angle first, 5 to 70 degrees two-theta:
d [Å]	two_theta	I/Imax
6.413	13.8	30
5.553	16.0	81
3.206	27.8	68
2.777	32.2	100
2.484	36.2	41
1.963	46.2	70
1.674	54.8	28
1.603	57.5	24

Cell and atoms:
abc: 7.8538 7.8538 7.8538
angles: 60.00 60.00 60.00
Element x y z (fractional)
1 Na 0.0000 0.0000 0.0000
2 Na 0.2500 0.2500 0.2500
3 Na 0.7500 0.7500 0.7500
4 In 0.5000 0.5000 0.5000
5 Br 0.2578 0.2578 0.7422
6 Br 0.2578 0.7422 0.2578
7 Br 0.2578 0.7422 0.7422
8 Br 0.7422 0.2578 0.2578
9 Br 0.7422 0.2578 0.7422
10 Br 0.7422 0.7422 0.2578

=====

3.
Calculated PXRD pattern of Ho5P12Ru19 for Cu Kα X-rays, from a DFT-relaxed cell (GGA-PBE, the Materials Project).
Kinematic intensities with the Lorentz-polarization factor, no thermal factor.

Largest 8 diffraction maxima, low angle first, 5 to 70 degrees two-theta:
d [Å]	two_theta	I/Imax
3.128	28.5	17
2.456	36.6	100
2.396	37.5	25
2.365	38.1	13
1.983	45.7	23
1.946	46.7	8
1.806	50.5	15
1.350	69.7	8

Cell and atoms:
abc: 12.5127 12.5127 3.9670
angles: 90.00 90.00 120.00
Element x y z (fractional)
1 Ho 0.0000 0.1846 0.0000
2 Ho 0.1846 0.0000 0.0000
3 Ho 0.3333 0.6667 0.5000
4 Ho 0.6667 0.3333 0.5000
5 Ho 0.8154 0.8154 0.0000
6 P 0.0000 0.3724 0.5000
7 P 0.0000 0.8162 0.5000
8 P 0.1704 0.6924 0.0000
9 P 0.1838 0.1838 0.5000
10 P 0.3076 0.4780 0.0000
11 P 0.3724 0.0000 0.5000
12 P 0.4780 0.3076 0.0000
13 P 0.5220 0.8296 0.0000
14 P 0.6276 0.6276 0.5000
15 P 0.6924 0.1704 0.0000
16 P 0.8162 0.0000 0.5000
17 P 0.8296 0.5220 0.0000
18 Ru 0.0000 0.0000 0.5000
19 Ru 0.0000 0.5545 0.5000
20 Ru 0.0000 0.7173 0.0000
21 Ru 0.1263 0.4913 0.0000
22 Ru 0.1844 0.8075 0.5000
23 Ru 0.1925 0.3769 0.5000
24 Ru 0.2827 0.2827 0.0000
25 Ru 0.3650 0.8737 0.0000
26 Ru 0.3769 0.1925 0.5000
27 Ru 0.4455 0.4455 0.5000
28 Ru 0.4913 0.1263 0.0000
29 Ru 0.5087 0.6350 0.0000
30 Ru 0.5545 0.0000 0.5000
31 Ru 0.6231 0.8156 0.5000
32 Ru 0.6350 0.5087 0.0000
33 Ru 0.7173 0.0000 0.0000
34 Ru 0.8075 0.1844 0.5000
35 Ru 0.8156 0.6231 0.5000
36 Ru 0.8737 0.3650 0.0000